Entry 1:
Starting from the GGA-PBE geometry in Alexandria, the X-ray diffraction stick pattern of K4Pm3SbS8 was calculated for Cu Kα X-rays.
Intensities are scaled so that the largest is 100.

abc: 8.3002 8.3002 22.1186
angles: 90.00 90.00 120.00
Space group R-3m (No. 166, hexagonal axes)
Asymmetric unit:
K1 0.0000 0.0000 0.0000 [3 per cell]
K2 0.0000 0.5000 0.0000 [9 per cell]
Pm1 0.0000 0.5000 0.5000 [9 per cell]
Sb1 0.0000 0.0000 0.5000 [3 per cell]
S1 0.0000 0.0000 0.2356 [6 per cell]
S2 0.0039 0.5019 0.2349 [18 per cell]

Peak list (10 most intense, 2θ = 10–80°, sorted by position)
(0 0 3), 2θ = 12.00°, rel. 63.4
(0 2 1), 2θ = 25.10°, rel. 21.3
(2 0 2), 2θ = 26.07°, rel. 30.1
(0 2 4), 2θ = 29.64°, rel. 100.0
(0 2 7), 2θ = 37.91°, rel. 16.8
(2 0 8), 2θ = 41.19°, rel. 35.0
(2 2 0), 2θ = 43.62°, rel. 34.0
(2 2 3), 2θ = 45.41°, rel. 14.6
(4 0 4), 2θ = 53.63°, rel. 17.4
(2 4 4), 2θ = 71.52°, rel. 14.3

Entry 2:
Starting from the GGA-PBE geometry in Alexandria, the X-ray diffraction stick pattern of K3Pm2SmS6 was calculated for Cu Kα X-rays.
Intensities are scaled so that the largest is 100.

abc: 7.2020 12.4735 7.7730
angles: 90.00 107.99 90.00
Space group C2/m (No. 12)
Asymmetric unit:
K1 0.0000 0.0000 0.0000 [2 per cell]
K2 0.0000 0.3331 0.0000 [4 per cell]
Pm1 0.0000 0.1666 0.5000 [4 per cell]
Sm1 0.0000 0.5000 0.5000 [2 per cell]
S1 0.2347 0.3340 0.7059 [8 per cell]
S2 0.2366 0.0000 0.7060 [4 per cell]

Peak list (10 most intense, 2θ = 10–80°, sorted by position)
(0 0 1), 2θ = 11.97°, rel. 66.8
(0 0 2), 2θ = 24.07°, rel. 14.9
(1 3 0), 2θ = 25.05°, rel. 23.4
(2 0 0), 2θ = 26.02°, rel. 32.0
(1 3 1), 2θ = 29.58°, rel. 100.0
(1 3 2), 2θ = 37.82°, rel. 17.5
(2 0 2), 2θ = 41.09°, rel. 35.4
(0 6 0), 2θ = 43.53°, rel. 34.1
(3 3 0), 2θ = 45.31°, rel. 15.5
(4 0 0), 2θ = 53.51°, rel. 17.5

Please write out number 2 again, unchanged.
Starting from the GGA-PBE geometry in Alexandria, the X-ray diffraction stick pattern of K3Pm2SmS6 was calculated for Cu Kα X-rays.
Intensities are scaled so that the largest is 100.

abc: 7.2020 12.4735 7.7730
angles: 90.00 107.99 90.00
Space group C2/m (No. 12)
Asymmetric unit:
K1 0.0000 0.0000 0.0000 [2 per cell]
K2 0.0000 0.3331 0.0000 [4 per cell]
Pm1 0.0000 0.1666 0.5000 [4 per cell]
Sm1 0.0000 0.5000 0.5000 [2 per cell]
S1 0.2347 0.3340 0.7059 [8 per cell]
S2 0.2366 0.0000 0.7060 [4 per cell]

Peak list (10 most intense, 2θ = 10–80°, sorted by position)
(0 0 1), 2θ = 11.97°, rel. 66.8
(0 0 2), 2θ = 24.07°, rel. 14.9
(1 3 0), 2θ = 25.05°, rel. 23.4
(2 0 0), 2θ = 26.02°, rel. 32.0
(1 3 1), 2θ = 29.58°, rel. 100.0
(1 3 2), 2θ = 37.82°, rel. 17.5
(2 0 2), 2θ = 41.09°, rel. 35.4
(0 6 0), 2θ = 43.53°, rel. 34.1
(3 3 0), 2θ = 45.31°, rel. 15.5
(4 0 0), 2θ = 53.51°, rel. 17.5